# Nd4CdAg3
Computed powder XRD pattern, CuKα. Input: DFT lattice parameters and positions (PBE).

Structural model:
Cell lengths 3.7763, 5.3537, 10.6933 Å; angles 90.00, 90.00, 90.00 degrees
Atoms (fractional coordinates):
1 Nd 0.0000 0.0000 0.0000
2 Nd 0.0000 0.0000 0.5000
3 Nd 0.0000 0.5000 0.2442
4 Nd 0.0000 0.5000 0.7558
5 Cd 0.5000 0.5000 0.5000
6 Ag 0.5000 0.0000 0.2531
7 Ag 0.5000 0.0000 0.7469
8 Ag 0.5000 0.5000 0.0000

Peak list (7 most intense, 2θ = 5–70°, by intensity)
2θ (°)	Rel. int.
33.52	1000
59.92	302
48.13	178
59.98	60
23.53	17
54.23	6
41.36	6